The following is a simulated powder X-ray diffraction pattern of NaUHg2Se6. It was derived from a structure optimized by DFT (PBE), using CuKα.
Neutral-atom scattering factors, no anomalous dispersion.

Most intense lines, 2θ = 10–80°, most intense first:
2theta  Rel. int.
17.61  100
13.81  96
37.14  66
12.77  58
32.04  58
33.96  57
32.76  50
25.41  48

Structure:
Cell lengths 6.419, 6.855, 7.460 Å; angles 76.93, 69.43, 70.46 degrees
Space group P1 (No. 1)
Asymmetric unit:
Na 0.000 0.000 0.000 x1
U 0.515 0.491 0.494 x1
Hg 0.400 0.383 0.984 x1
Hg 0.894 0.758 0.537 x1
Se 0.137 0.386 0.759 x1
Se 0.281 0.827 0.301 x1
Se 0.470 0.751 0.749 x1
Se 0.550 0.207 0.271 x1
Se 0.797 0.167 0.656 x1
Se 0.877 0.593 0.222 x1


The following is a simulated powder X-ray diffraction pattern of NaSiHg. It was derived from a structure optimized by DFT (PBE), using CuKα.
Neutral-atom scattering factors, no anomalous dispersion.

Most intense lines, 2θ = 10–80°, most intense first:
2theta  Rel. int.
10.89  100
31.15  92
33.82  41
40.97  38
32.33  24
25.48  20
58.12  20
39.37  17

Structure:
Cell lengths 4.577, 16.254, 3.784 Å; angles 90.00, 90.00, 90.00 degrees
Space group Cmcm (No. 63)
Asymmetric unit:
Na 0.000 0.101 0.250 x4
Si 0.000 0.459 0.250 x4
Hg 0.000 0.292 0.250 x4


The following is a simulated powder X-ray diffraction pattern of Na2SmHg7. It was derived from a structure optimized by DFT (PBE), using CuKα.
Neutral-atom scattering factors, no anomalous dispersion.

Most intense lines, 2θ = 10–80°, most intense first:
2theta  Rel. int.
34.63  100
36.53  61
30.27  44
24.96  35
63.31  28
51.22  24
62.07  19
21.20  16

Structure:
Cell lengths 5.1798, 5.1798, 11.7636 Å; angles 90.00, 90.00, 120.00 degrees
Space group P3m1 (No. 156)
Asymmetric unit:
Na 0.0000 0.0000 0.0000 x1
Na 0.3333 0.6667 0.5966 x1
Sm 0.6667 0.3333 0.3655 x1
Hg 0.0000 0.0000 0.2517 x1
Hg 0.0000 0.0000 0.5018 x1
Hg 0.0000 0.0000 0.7512 x1
Hg 0.3333 0.6667 0.2777 x1
Hg 0.3333 0.6667 0.8914 x1
Hg 0.6667 0.3333 0.0919 x1
Hg 0.6667 0.3333 0.6428 x1